Entry 1:
Calculated powder XRD pattern of CuPSe2 for Cu Kα, from a DFT-relaxed cell (GGA-PBE, the Materials Project).
No peak broadening, texture or thermal motion is included.

Structure:
a b c (Å): 4.2606 4.2606 5.7983
angles (deg): 90.00 90.00 120.00
Space group P3m1 (No. 156)
Unique sites:
Cu 0.0000 0.0000 0.0000
P 0.6667 0.3333 0.5032
Se 0.0000 0.0000 0.4156
Se 0.6667 0.3333 0.8951

Largest 10 diffraction maxima, low angle first, 2θ from 5° to 70°:
| (hkl) | Position (°2θ) | Rel. int. |
| --- | --- | --- |
| 1 0 0 | 24.12 | 100.0 |
| 0 1 1 | 28.68 | 50.1 |
| 0 0 2 | 30.84 | 45.6 |
| 0 1 2 | 39.53 | 41.7 |
| 1 1 0 | 42.43 | 80.4 |
| 2 0 0 | 49.40 | 13.6 |
| 1 1 2 | 53.37 | 55.3 |
| 0 1 3 | 53.52 | 37.0 |
| 2 0 2 | 59.38 | 12.1 |
| 2 1 0 | 67.12 | 10.4 |

=====

Entry 2:
Calculated powder XRD pattern of Mo2WSe2S4 for Cu Kα, from a DFT-relaxed cell (GGA-PBE, the Materials Project).
No peak broadening, texture or thermal motion is included.

Structure:
a b c (Å): 3.2310 3.2310 29.6583
angles (deg): 90.00 90.00 120.00
Space group P3m1 (No. 156)
Unique sites:
Mo 0.0000 0.0000 0.0000
Mo 0.0000 0.0000 0.4627
W 0.3333 0.6667 0.2313
Se 0.3333 0.6667 0.4051
Se 0.3333 0.6667 0.5202
S 0.0000 0.0000 0.1788
S 0.0000 0.0000 0.2839
S 0.3333 0.6667 0.0524
S 0.3333 0.6667 0.9476

Largest 10 diffraction maxima, low angle first, 2θ from 5° to 70°:
| (hkl) | Position (°2θ) | Rel. int. |
| --- | --- | --- |
| 0 0 2 | 5.96 | 46.8 |
| 0 0 3 | 8.94 | 14.4 |
| 0 0 4 | 11.94 | 100.0 |
| 0 0 5 | 14.94 | 24.7 |
| 1 0 0 | 31.99 | 22.2 |
| 0 1 6 | 36.91 | 35.8 |
| 1 0 7 | 38.56 | 39.9 |
| 0 1 10 | 44.52 | 17.8 |
| 1 0 11 | 46.79 | 30.4 |
| 1 1 0 | 57.03 | 23.4 |

=====

Entry 3:
Calculated powder XRD pattern of CuPH4O5F for Cu Kα, from a DFT-relaxed cell (GGA-PBE, the Materials Project).
No peak broadening, texture or thermal motion is included.

Structure:
a b c (Å): 7.663 7.885 9.268
angles (deg): 90.00 112.99 90.00
Space group P2_1/c (No. 14)
Unique sites:
Cu 0.104 0.189 0.049
P 0.039 0.501 0.814
H 0.321 0.735 0.023
H 0.401 0.506 0.609
H 0.431 0.171 0.037
H 0.495 0.222 0.318
O 0.065 0.512 0.658
O 0.082 0.670 0.903
O 0.147 0.149 0.411
O 0.380 0.120 0.112
O 0.446 0.712 0.584
F 0.181 0.532 0.233

Largest 10 diffraction maxima, low angle first, 2θ from 5° to 70°:
| (hkl) | Position (°2θ) | Rel. int. |
| --- | --- | --- |
| 1 0 0 | 12.55 | 100.0 |
| 1 1 0 | 16.86 | 15.4 |
| 2 0 0 | 25.25 | 8.3 |
| 2 1 0 | 27.71 | 9.5 |
| 1 2 -2 | 30.10 | 12.5 |
| 1 1 2 | 30.59 | 12.6 |
| 0 2 2 | 30.88 | 22.5 |
| 1 1 -3 | 31.10 | 15.4 |
| 1 2 2 | 36.55 | 7.6 |
| 2 1 2 | 40.72 | 8.8 |

=====

Entry 4:
Calculated powder XRD pattern of CaHoTi2O6 for Cu Kα, from a DFT-relaxed cell (GGA-PBE, the Materials Project).
No peak broadening, texture or thermal motion is included.

Structure:
a b c (Å): 7.699 5.579 5.365
angles (deg): 90.00 90.00 90.00
Space group Pmn2_1 (No. 31)
Unique sites:
Ca 0.000 0.197 0.000
Ho 0.000 0.686 0.530
Ti 0.250 0.246 0.512
O 0.000 0.284 0.425
O 0.000 0.778 0.121
O 0.196 0.947 0.705
O 0.201 0.462 0.802

Largest 10 diffraction maxima, low angle first, 2θ from 5° to 70°:
| (hkl) | Position (°2θ) | Rel. int. |
| --- | --- | --- |
| 1 1 0 | 19.65 | 33.2 |
| 1 0 1 | 20.17 | 39.4 |
| 1 1 1 | 25.78 | 17.1 |
| 0 2 0 | 32.09 | 19.5 |
| 2 1 1 | 32.83 | 100.0 |
| 0 0 2 | 33.41 | 24.3 |
| 0 2 2 | 47.00 | 23.2 |
| 4 0 0 | 47.22 | 16.5 |
| 1 3 1 | 53.50 | 15.9 |
| 2 1 3 | 59.34 | 23.4 |

=====

Entry 5:
Calculated powder XRD pattern of LiCr2S4 for Cu Kα, from a DFT-relaxed cell (GGA-PBE, the Materials Project).
No peak broadening, texture or thermal motion is included.

Structure:
a b c (Å): 11.904 6.871 5.778
angles (deg): 90.00 90.00 90.00
Space group Pnma (No. 62)
Unique sites:
Li 0.092 0.250 0.090
Cr 0.000 0.000 0.500
Cr 0.241 0.750 0.986
S 0.083 0.750 0.738
S 0.089 0.250 0.697
S 0.172 0.511 0.282

Largest 10 diffraction maxima, low angle first, 2θ from 5° to 70°:
| (hkl) | Position (°2θ) | Rel. int. |
| --- | --- | --- |
| 1 0 1 | 17.06 | 67.3 |
| 1 1 1 | 21.44 | 54.8 |
| 3 1 1 | 30.26 | 17.5 |
| 1 2 1 | 31.21 | 20.8 |
| 4 0 1 | 33.89 | 94.8 |
| 1 3 1 | 43.16 | 16.3 |
| 2 2 2 | 43.67 | 100.0 |
| 5 2 1 | 49.16 | 12.2 |
| 0 4 0 | 53.32 | 55.4 |
| 4 0 3 | 56.96 | 13.7 |

=====

Entry 6:
Calculated powder XRD pattern of Ba10CeBi9O30 for Cu Kα, from a DFT-relaxed cell (GGA-PBE, the Materials Project).
No peak broadening, texture or thermal motion is included.

Structure:
a b c (Å): 8.848 10.813 10.818
angles (deg): 80.35 66.17 66.11
Space group P-1 (No. 2)
Unique sites:
Ba 0.046 0.304 0.103
Ba 0.157 0.898 0.300
Ba 0.245 0.501 0.502
Ba 0.357 0.100 0.696
Ba 0.448 0.700 0.901
Ce 0.000 0.000 0.000
Bi 0.099 0.601 0.200
Bi 0.200 0.200 0.399
Bi 0.300 0.800 0.601
Bi 0.400 0.399 0.800
Bi 0.500 0.000 0.000
O 0.003 0.188 0.872
O 0.039 0.330 0.590
O 0.064 0.771 0.614
O 0.137 0.428 0.786
O 0.159 0.870 0.813
O 0.198 0.008 0.531
O 0.202 0.391 0.271
O 0.237 0.533 0.990
O 0.258 0.971 0.014
O 0.336 0.629 0.187
O 0.360 0.069 0.211
O 0.398 0.209 0.928
O 0.402 0.592 0.672
O 0.438 0.732 0.390
O 0.464 0.171 0.413

Largest 10 diffraction maxima, low angle first, 2θ from 5° to 70°:
| (hkl) | Position (°2θ) | Rel. int. |
| --- | --- | --- |
| 2 1 1 | 20.07 | 9.5 |
| 2 0 -1 | 28.40 | 19.4 |
| 2 3 0 | 28.56 | 100.0 |
| 0 2 4 | 40.70 | 11.0 |
| 4 2 2 | 40.79 | 10.9 |
| 0 4 -2 | 40.89 | 10.4 |
| 4 -1 1 | 50.33 | 9.0 |
| 4 3 -1 | 50.45 | 13.6 |
| 2 6 1 | 50.64 | 30.3 |
| 4 4 6 | 59.18 | 10.4 |

=====

Entry 7:
Calculated powder XRD pattern of Cu3Bi2S3Br2 for Cu Kα, from a DFT-relaxed cell (GGA-PBE, the Materials Project).
No peak broadening, texture or thermal motion is included.

Structure:
a b c (Å): 3.820 30.247 8.184
angles (deg): 90.00 91.80 90.00
Space group P2_1/c (No. 14)
Unique sites:
Cu 0.000 0.219 0.208
Cu 0.498 0.103 0.945
Cu 0.499 0.230 0.909
Bi 0.004 0.651 0.941
Bi 0.097 0.005 0.227
S 0.000 0.063 0.977
S 0.002 0.238 0.484
S 0.494 0.664 0.715
Br 0.497 0.158 0.222
Br 0.498 0.563 0.972

Largest 10 diffraction maxima, low angle first, 2θ from 5° to 70°:
| (hkl) | Position (°2θ) | Rel. int. |
| --- | --- | --- |
| 0 3 1 | 13.94 | 39.2 |
| 0 6 0 | 17.59 | 40.9 |
| 0 4 2 | 24.75 | 51.3 |
| 1 3 -1 | 26.95 | 100.0 |
| 0 6 2 | 28.10 | 51.5 |
| 0 9 1 | 28.72 | 38.4 |
| 1 6 0 | 29.34 | 41.0 |
| 0 2 3 | 33.40 | 96.3 |
| 1 4 2 | 34.73 | 40.6 |
| 1 10 2 | 44.55 | 33.6 |

=====

Entry 8:
Calculated powder XRD pattern of VC8N6 for Cu Kα, from a DFT-relaxed cell (GGA-PBE, the Materials Project).
No peak broadening, texture or thermal motion is included.

Structure:
a b c (Å): 12.876 7.509 5.776
angles (deg): 90.00 93.22 90.00
Space group C2/m (No. 12)
Unique sites:
V 0.000 0.000 0.000
C 0.116 0.339 0.228
C 0.170 0.500 0.251
C 0.223 0.000 0.778
N 0.071 0.204 0.196
N 0.134 0.000 0.815

Largest 10 diffraction maxima, low angle first, 2θ from 5° to 70°:
| (hkl) | Position (°2θ) | Rel. int. |
| --- | --- | --- |
| 1 1 0 | 13.66 | 49.9 |
| 2 0 0 | 13.78 | 20.6 |
| 0 0 1 | 15.37 | 49.1 |
| 2 0 -1 | 20.10 | 54.2 |
| 1 1 1 | 20.90 | 100.0 |
| 3 1 0 | 23.91 | 12.1 |
| 0 0 2 | 31.05 | 17.4 |
| 2 2 1 | 32.05 | 18.1 |
| 2 2 2 | 42.55 | 16.5 |
| 6 2 0 | 48.98 | 10.4 |